No. 1
# KNbCdFeBr
Calculated X-ray diffraction stick pattern, Cu Kα. Input: the GGA-PBE geometry in Alexandria.

Principal peaks in the range 2θ from 15° to 90°, by angle:
2θ 27.1, I = 62.8, (1 0 0); 2θ 32.0, I = 81.9, (1 0 2); 2θ 37.2, I = 51.9, (1 0 3); 2θ 38.7, I = 100.0, (1 1 0); 2θ 43.7, I = 84.4, (1 0 4); 2θ 52.2, I = 41.0, (1 1 4)

a = 3.2903 Å, b = 3.2903 Å, c = 10.6728 Å
α = 90.00°, β = 90.00°, γ = 90.00°
Space group P4mm (No. 99)
Inequivalent atoms, fractional coordinates:
K 0.0000 0.0000 0.0000 [1 per cell]
Nb 0.5000 0.5000 0.5522 [1 per cell]
Cd 0.5000 0.5000 0.2750 [1 per cell]
Fe 0.0000 0.0000 0.4526 [1 per cell]
Br 0.5000 0.5000 0.7970 [1 per cell]

---

No. 2
# CdGa2Br6
Calculated X-ray diffraction stick pattern, Cu Kα. Input: the GGA-PBE geometry in Alexandria.

Principal peaks in the range 2θ from 15° to 90°, by angle:
2θ 17.3, I = 70.9, (2 2 0); 2θ 18.7, I = 92.6, (3 1 0); 2θ 24.3, I = 67.5, (1 3 1); 2θ 28.0, I = 100.0, (3 3 -1); 2θ 30.3, I = 73.4, (2 0 2); 2θ 43.3, I = 48.6, (5 1 2)

a = 15.2772 Å, b = 13.9840 Å, c = 6.9104 Å
α = 90.00°, β = 98.58°, γ = 90.00°
Space group C2/c (No. 15)
Inequivalent atoms, fractional coordinates:
Cd 0.0000 0.0064 0.2500 [4 per cell]
Ga 0.0811 0.4192 0.2652 [8 per cell]
Br 0.0952 0.1002 0.5402 [8 per cell]
Br 0.1433 0.4330 0.6262 [8 per cell]
Br 0.1592 0.2931 0.1581 [8 per cell]

---

No. 3
# CdGaBrO2
Calculated X-ray diffraction stick pattern, Cu Kα. Input: the GGA-PBE geometry in Alexandria.

Principal peaks in the range 2θ from 15° to 90°, by angle:
2θ 26.3, I = 100.0, (1 1 0); 2θ 26.5, I = 56.8, (1 0 -2); 2θ 29.2, I = 37.3, (1 1 1); 2θ 30.3, I = 64.0, (2 0 1); 2θ 37.5, I = 40.8, (1 0 -3); 2θ 45.9, I = 36.9, (0 2 0)

a = 6.5934 Å, b = 3.9580 Å, c = 7.5485 Å
α = 90.00°, β = 93.54°, γ = 90.00°
Space group P2_1/m (No. 11)
Inequivalent atoms, fractional coordinates:
Cd 0.2022 0.2500 0.0811 [2 per cell]
Ga 0.0367 0.2500 0.6430 [2 per cell]
Br 0.4063 0.2500 0.7717 [2 per cell]
O 0.0022 0.7500 0.6089 [2 per cell]
O 0.0893 0.7500 0.1411 [2 per cell]

---

No. 4
# CdGeBr4
Calculated X-ray diffraction stick pattern, Cu Kα. Input: the GGA-PBE geometry in Alexandria.

Principal peaks in the range 2θ from 15° to 90°, by angle:
2θ 18.6, I = 45.2, (0 2 1); 2θ 30.5, I = 100.0, (2 4 -1); 2θ 31.2, I = 52.7, (0 0 2); 2θ 41.8, I = 23.1, (2 6 -2); 2θ 44.1, I = 35.0, (2 4 1); 2θ 44.2, I = 35.7, (2 4 -3)

a = 8.0309 Å, b = 17.2077 Å, c = 6.9905 Å
α = 90.00°, β = 124.83°, γ = 90.00°
Space group C2/c (No. 15)
Inequivalent atoms, fractional coordinates:
Cd 0.0000 0.0735 0.2500 [4 per cell]
Ge 0.0000 0.4211 0.7500 [4 per cell]
Br 0.2353 0.0530 0.7518 [8 per cell]
Br 0.2366 0.3215 0.7339 [8 per cell]

---

No. 5
# KCdInGeBr
Calculated X-ray diffraction stick pattern, Cu Kα. Input: the GGA-PBE geometry in Alexandria.

Principal peaks in the range 2θ from 15° to 90°, by angle:
2θ 22.4, I = 86.8, (4 0 0); 2θ 27.0, I = 100.0, (1 1 -1); 2θ 29.6, I = 46.3, (3 1 -1); 2θ 34.9, I = 66.6, (3 1 1); 2θ 35.9, I = 47.4, (5 1 -1); 2θ 42.8, I = 45.2, (2 0 2)

a = 16.4079 Å, b = 4.4849 Å, c = 4.8739 Å
α = 90.00°, β = 104.91°, γ = 90.00°
Space group Cm (No. 8)
Inequivalent atoms, fractional coordinates:
K 0.0000 0.0000 0.0000 [2 per cell]
Cd 0.2505 0.0000 0.2554 [2 per cell]
In 0.2253 0.5000 0.8166 [2 per cell]
Ge 0.3196 0.0000 0.7975 [2 per cell]
Br 0.0458 0.5000 0.5390 [2 per cell]

---

No. 6
# KCdInGeBr
Calculated X-ray diffraction stick pattern, Cu Kα. Input: the GGA-PBE geometry in Alexandria.

Principal peaks in the range 2θ from 15° to 90°, by angle:
2θ 19.8, I = 52.4, (0 0 2); 2θ 25.6, I = 78.2, (1 1 1); 2θ 32.0, I = 78.9, (2 0 -3); 2θ 38.1, I = 98.6, (3 1 -1); 2θ 38.7, I = 47.4, (0 2 0); 2θ 40.2, I = 100.0, (1 1 3)

a = 8.2146 Å, b = 4.6575 Å, c = 9.3512 Å
α = 90.00°, β = 106.54°, γ = 90.00°
Space group Cm (No. 8)
Inequivalent atoms, fractional coordinates:
K 0.0000 0.0000 0.0000 [2 per cell]
Cd 0.3269 0.5000 0.4913 [2 per cell]
In 0.2315 0.0000 0.7034 [2 per cell]
Ge 0.0376 0.5000 0.6227 [2 per cell]
Br 0.2286 0.5000 0.1814 [2 per cell]